CaPmNd6: simulated X-ray diffraction stick pattern (λ = 1.5418 Å (Cu Kα)), based on a DFT-relaxed cell (PBE, Alexandria).
Peak positions follow from Bragg's law for the DFT cell and can differ from measured ones.

Main lines, in order of falling intensity (15° ≤ 2θ ≤ 90°):
two_theta  d [Å]  Rel. int.
29.61  3.017  100
49.33  1.847  36
34.28  2.616  34
58.53  1.577  29
34.41  2.606  17
58.71  1.573  14

Cell and atoms:
```
CaPmNd6
1.0
5.232 0.000 0.000
0.000 5.232 0.000
0.000 0.000 10.425
Ca Pm Nd
1 1 6
direct
0.000 0.000 0.000
0.000 0.000 0.500
0.000 0.500 0.256
0.000 0.500 0.744
0.500 0.000 0.256
0.500 0.000 0.744
0.500 0.500 0.000
0.500 0.500 0.500
```